Record 1
Starting from a PBE-relaxed structure, the powder diffraction line list of SrMg14B was computed for CuKα.

Structure:
```
SrMg14B
1.0
6.4121 0.0000 0.0000
-3.2061 5.5531 0.0000
0.0000 0.0000 10.4292
Sr Mg B
1 14 1
direct
0.0000 0.0000 0.0000
0.0128 0.5064 0.0000
0.1625 0.3251 0.2734
0.1625 0.3251 0.7266
0.1625 0.8375 0.2734
0.1625 0.8375 0.7266
0.4936 0.5064 0.0000
0.4936 0.9872 0.0000
0.5050 0.0099 0.5000
0.5050 0.4950 0.5000
0.6667 0.3333 0.2408
0.6667 0.3333 0.7592
0.6749 0.8375 0.2734
0.6749 0.8375 0.7266
0.9901 0.4950 0.5000
0.0000 0.0000 0.5000
```

Main lines, low angle first (15° ≤ 2θ ≤ 90°):
2θ (°)	intensity
18.1	20
30.3	12
32.2	25
34.4	24
36.7	100
47.9	15
57.5	17
63.1	15
68.7	17
70.2	13

Record 2
Starting from a PBE-relaxed structure, the powder diffraction line list of Mg14TiB was computed for CuKα.

Structure:
```
Mg14TiB
1.0
9.9973 0.0000 0.0000
0.0000 3.0211 5.5346
0.0000 -3.0211 5.5346
Mg Ti B
14 1 1
direct
0.0000 0.0000 0.0000
0.0000 0.0042 0.4957
0.0000 0.4957 0.0042
0.0000 0.4966 0.4966
0.2503 0.6610 0.6610
0.2655 0.1649 0.6659
0.2655 0.6659 0.1649
0.2822 0.1485 0.1485
0.5000 0.0023 0.5269
0.5000 0.5269 0.0023
0.7178 0.1485 0.1485
0.7345 0.1649 0.6659
0.7345 0.6659 0.1649
0.7497 0.6610 0.6610
0.5000 0.5124 0.5124
0.5000 0.9684 0.9684
```

Main lines, low angle first (15° ≤ 2θ ≤ 90°):
2θ (°)	intensity
33.8	34
35.9	41
37.1	67
38.4	100
50.2	19
58.6	18
65.4	10
66.2	15
70.7	22
74.0	15

Record 3
Starting from a PBE-relaxed structure, the powder diffraction line list of Mg14TiB was computed for CuKα.

Structure:
```
Mg14TiB
1.0
6.2302 0.0000 0.0000
-3.1151 5.3955 0.0000
0.0000 0.0000 9.9774
Mg Ti B
14 1 1
direct
0.0000 0.0000 0.2443
0.0000 0.0000 0.7557
0.0166 0.5083 0.2586
0.0166 0.5083 0.7414
0.3297 0.1649 0.5000
0.3403 0.1701 0.0000
0.4917 0.5083 0.2586
0.4917 0.5083 0.7414
0.4917 0.9834 0.2586
0.4917 0.9834 0.7414
0.8299 0.1701 0.0000
0.8299 0.6597 0.0000
0.8351 0.1649 0.5000
0.8351 0.6703 0.5000
0.3333 0.6667 0.0000
0.3333 0.6667 0.5000
```

Main lines, low angle first (15° ≤ 2θ ≤ 90°):
2θ (°)	intensity
18.7	6
31.6	3
33.2	24
36.0	26
37.9	100
49.8	14
59.3	17
66.0	17
71.4	18
72.6	13

Number 3 is which compound?
Mg14TiB